Simulated powder diffraction line list of V3OF11 for Cu Kα, from DFT lattice parameters and positions (PBE+U).
Kinematic intensities with the Lorentz-polarization factor, no thermal factor.

Structure:
```
data_V3OF11
_cell_length_a 15.0273
_cell_length_b 5.2777
_cell_length_c 5.4553
_cell_angle_alpha 90.00
_cell_angle_beta 100.41
_cell_angle_gamma 90.00
_space_group_name_H-M_alt 'P 1 c 1'
_space_group_IT_number 7
_space_group_name_Hall 'P -2yc'
loop_
_atom_site_label
_atom_site_fract_x
_atom_site_fract_y
_atom_site_fract_z
V1 0.0000 0.2276 0.0000
V2 0.3312 0.2501 0.6000
V3 0.6655 0.2501 0.2661
O1 0.0223 0.0448 0.2496
F1 0.1089 0.3338 0.9647
F2 0.2153 0.1698 0.5563
F3 0.3084 0.4468 0.2885
F4 0.3538 0.0535 0.9110
F5 0.4470 0.3302 0.6418
F6 0.5497 0.1686 0.2227
F7 0.6423 0.4479 0.9553
F8 0.6885 0.0525 0.5762
F9 0.7811 0.3318 0.3067
F10 0.8852 0.1599 0.8782
F11 0.9715 0.4743 0.6329
```

Top 10 peaks for 10° ≤ 2θ ≤ 90°, sorted by position:
two_theta  d_spacing  Rel. int.
18.0  4.927  61
25.2  3.540  100
32.8  2.728  9
36.5  2.463  8
39.0  2.309  11
48.0  1.897  15
51.6  1.770  10
52.3  1.749  14
54.2  1.694  11
55.7  1.651  9